This entry pairs a crystal structure of Ba3NbFe3Si2O14 with its computed X-ray powder pattern. Radiation: Cu Kα, 1.54184 Å. Structure: DFT lattice parameters and positions (GGA+U).
Lines closer than 0.1° are merged.

Most intense lines, 15° ≤ 2θ ≤ 90°, by angle:
2θ/deg  I (rel.)  index
23.61  23  2 0 0
26.46  72  1 1 1
29.04  100  0 2 1
31.40  25  2 1 0
41.54  23  0 2 2
43.28  20  3 1 0
46.70  42  1 2 2
55.92  36  2 3 1

abc: 8.7042 8.7042 5.3193
angles: 90.00 90.00 120.00
Space group P321 (No. 150)
Inequivalent atoms, fractional coordinates:
Ba  0.0000  0.4286  0.0000 [3 per cell]
Nb  0.0000  0.0000  0.0000 [1 per cell]
Fe  0.0000  0.7445  0.5000 [3 per cell]
Si  0.3333  0.6667  0.5235 [2 per cell]
O  0.1048  0.2166  0.2236 [6 per cell]
O  0.1760  0.6988  0.6482 [6 per cell]
O  0.3333  0.6667  0.2203 [2 per cell]

This entry pairs a crystal structure of Na2UMo2O10 with its computed X-ray powder pattern. Radiation: Cu Kα, 1.54184 Å. Structure: DFT lattice parameters and positions (GGA+U).
Lines closer than 0.1° are merged.

Most intense lines, 15° ≤ 2θ ≤ 90°, by angle:
2θ/deg  I (rel.)  index
15.21  100  0 2 0
16.04  69  1 1 1
23.24  24  0 1 3
25.43  34  2 0 1
26.27  62  1 1 3
27.00  25  1 3 1
29.47  45  2 1 2
46.12  23  3 2 3

abc: 7.330 11.652 12.155
angles: 90.00 90.00 90.00
Space group P2_12_12_1 (No. 19)
Inequivalent atoms, fractional coordinates:
Na  0.082  0.051  0.429 [4 per cell]
Na  0.086  0.558  0.808 [4 per cell]
U  0.179  0.758  0.269 [4 per cell]
Mo  0.080  0.331  0.513 [4 per cell]
Mo  0.166  0.787  0.599 [4 per cell]
O  0.006  0.207  0.825 [4 per cell]
O  0.012  0.259  0.386 [4 per cell]
O  0.098  0.916  0.935 [4 per cell]
O  0.102  0.933  0.593 [4 per cell]
O  0.120  0.228  0.171 [4 per cell]
O  0.134  0.217  0.613 [4 per cell]
O  0.144  0.912  0.287 [4 per cell]
O  0.192  0.734  0.461 [4 per cell]
O  0.218  0.604  0.251 [4 per cell]
O  0.224  0.584  0.985 [4 per cell]

This entry pairs a crystal structure of LiLuZnFeO4 with its computed X-ray powder pattern. Radiation: Cu Kα, 1.54184 Å. Structure: DFT lattice parameters and positions (GGA+U).
Lines closer than 0.1° are merged.

Most intense lines, 15° ≤ 2θ ≤ 90°, by angle:
2θ/deg  I (rel.)  index
17.00  100  0 0 2
25.61  62  0 0 3
31.40  71  1 1 0
33.25  54  1 1 1
34.66  58  1 1 -2
37.14  34  1 1 2
42.59  44  1 1 3
55.78  37  3 1 -1

abc: 5.707 3.301 10.564
angles: 90.00 99.02 90.00
Space group Cm (No. 8)
Inequivalent atoms, fractional coordinates:
Li  0.000  0.000  0.000 [2 per cell]
Lu  0.410  0.000  0.242 [2 per cell]
Zn  0.104  0.500  0.803 [2 per cell]
Fe  0.194  0.000  0.542 [2 per cell]
O  0.040  0.500  0.613 [2 per cell]
O  0.106  0.000  0.350 [2 per cell]
O  0.211  0.500  0.133 [2 per cell]
O  0.292  0.000  0.877 [2 per cell]

This entry pairs a crystal structure of Li9Mn2Co5O16 with its computed X-ray powder pattern. Radiation: Cu Kα, 1.54184 Å. Structure: DFT lattice parameters and positions (GGA+U).
Lines closer than 0.1° are merged.

Most intense lines, 15° ≤ 2θ ≤ 90°, by angle:
2θ/deg  I (rel.)  index
18.40  100  0 0 4
35.60  29  1 -1 1
36.18  13  1 1 -2
37.25  8  0 2 -3
43.11  29  1 -1 5
43.31  27  0 2 5
43.93  27  1 1 -6
63.65  8  2 0 -1

abc: 2.924 5.125 19.351
angles: 92.58 93.61 90.82
Space group P1 (No. 1)
Inequivalent atoms, fractional coordinates:
Li  0.000  0.000  0.000 [1 per cell]
Li  0.052  0.678  0.118 [1 per cell]
Li  0.188  0.068  0.370 [1 per cell]
Li  0.313  0.435  0.625 [1 per cell]
Li  0.448  0.824  0.884 [1 per cell]
Li  0.558  0.175  0.119 [1 per cell]
Li  0.689  0.560  0.373 [1 per cell]
Li  0.811  0.938  0.625 [1 per cell]
Li  0.948  0.322  0.881 [1 per cell]
Mn  0.250  0.750  0.499 [1 per cell]
Mn  0.377  0.125  0.751 [1 per cell]
Co  0.123  0.372  0.247 [1 per cell]
Co  0.499  0.499  0.999 [1 per cell]
Co  0.624  0.871  0.247 [1 per cell]
Co  0.750  0.249  0.499 [1 per cell]
Co  0.877  0.626  0.752 [1 per cell]
O  0.020  0.356  0.055 [1 per cell]
O  0.072  0.021  0.189 [1 per cell]
O  0.173  0.726  0.305 [1 per cell]
O  0.223  0.428  0.442 [1 per cell]
O  0.277  0.074  0.556 [1 per cell]
O  0.348  0.802  0.694 [1 per cell]
O  0.404  0.447  0.807 [1 per cell]
O  0.472  0.203  0.945 [1 per cell]
O  0.527  0.794  0.054 [1 per cell]
O  0.575  0.518  0.191 [1 per cell]
O  0.673  0.221  0.307 [1 per cell]
O  0.730  0.882  0.443 [1 per cell]
O  0.771  0.615  0.556 [1 per cell]
O  0.853  0.264  0.694 [1 per cell]
O  0.899  0.989  0.807 [1 per cell]
O  0.977  0.645  0.943 [1 per cell]

This entry pairs a crystal structure of Li4Co3O3F4 with its computed X-ray powder pattern. Radiation: Cu Kα, 1.54184 Å. Structure: DFT lattice parameters and positions (GGA+U).
Lines closer than 0.1° are merged.

Most intense lines, 15° ≤ 2θ ≤ 90°, by angle:
2θ/deg  I (rel.)  index
33.84  66  1 0 5
35.94  23  0 0 12
40.84  42  1 0 9
42.19  50  0 0 14
43.34  100  1 1 0
62.08  54  1 1 14
62.96  28  2 0 0
78.73  24  2 0 14

abc: 2.952 2.952 29.985
angles: 90.00 90.00 90.00
Space group I4/mmm (No. 139)
Inequivalent atoms, fractional coordinates:
Li  0.000  0.000  0.148 [4 per cell]
Li  0.000  0.000  0.283 [4 per cell]
Co  0.000  0.000  0.000 [2 per cell]
Co  0.000  0.000  0.426 [4 per cell]
O  0.000  0.000  0.075 [4 per cell]
O  0.000  0.000  0.500 [2 per cell]
F  0.000  0.000  0.216 [4 per cell]
F  0.000  0.000  0.351 [4 per cell]